No. 1
Starting from a cell relaxed with GGA-PBE, the powder diffraction line list of KPt2I was calculated for Cu Kα (weighted mean of Kα1 and Kα2).
Lines closer than 0.1° are merged.

The 10 most intense peaks (10 to 90 degrees two-theta), by angle:
2θ (°)	intensity	hkl
16.9	100	1 0 1
22.2	15	1 0 3
25.1	18	1 1 2
34.3	42	2 0 2
39.5	12	1 0 7
39.9	24	2 1 3
41.2	13	0 0 8
45.1	17	2 1 5
45.3	19	2 0 6
51.5	27	2 2 4

Structure:
```
data_KPt2I
_chemical_formula_sum 'K4 Pt8 I4'
_space_group_name_H-M_alt 'I 41/a m d'
_space_group_IT_number 141
_cell_length_a 5.486
_cell_length_b 5.486
_cell_length_c 17.535
_cell_angle_alpha 90.00
_cell_angle_beta 90.00
_cell_angle_gamma 90.00
loop_
_space_group_symop_operation_xyz
'x,y,z'
'-x,-y,-z'
'-y+1/4,x+3/4,z+1/4'
'y+1/4,-x+3/4,-z+1/4'
'-x+1/2,-y,z+1/2'
'x+1/2,y,-z+1/2'
'y+1/4,-x+1/4,z+3/4'
'-y+1/4,x+1/4,-z+3/4'
'x,-y,-z'
'-x,y,z'
'-y+1/4,-x+1/4,-z+3/4'
'y+1/4,x+1/4,z+3/4'
'-x+1/2,y,-z+1/2'
'x+1/2,-y,z+1/2'
'y+1/4,x+3/4,-z+1/4'
'-y+1/4,-x+3/4,z+1/4'
'x+1/2,y+1/2,z+1/2'
'-x+1/2,-y+1/2,-z+1/2'
'-y+3/4,x+1/4,z+3/4'
'y+3/4,-x+1/4,-z+3/4'
'-x,-y+1/2,z'
'x,y+1/2,-z'
'y+3/4,-x+3/4,z+1/4'
'-y+3/4,x+3/4,-z+1/4'
'x+1/2,-y+1/2,-z+1/2'
'-x+1/2,y+1/2,z+1/2'
'-y+3/4,-x+3/4,-z+1/4'
'y+3/4,x+3/4,z+1/4'
'-x,y+1/2,-z'
'x,-y+1/2,z'
'y+3/4,x+1/4,-z+3/4'
'-y+3/4,-x+1/4,z+3/4'
loop_
_atom_site_label
_atom_site_type_symbol
_atom_site_fract_x
_atom_site_fract_y
_atom_site_fract_z
K1 K 0.000 0.250 0.375
Pt1 Pt 0.000 0.000 0.000
I1 I 0.000 0.250 0.875
```

No. 2
Starting from a cell relaxed with GGA-PBE, the powder diffraction line list of Nd12Sm2Th was calculated for Cu Kα (weighted mean of Kα1 and Kα2).
Lines closer than 0.1° are merged.

The 10 most intense peaks (10 to 90 degrees two-theta), by angle:
2θ (°)	intensity	hkl
28.6	36	2 0 4
29.1	70	0 2 7
30.0	82	2 2 2
30.5	100	0 4 0
31.0	33	2 2 3
32.2	81	0 2 8
32.5	65	2 2 4
36.3	62	2 2 6
50.7	27	4 0 0
60.4	30	4 4 0

Structure:
```
data_Nd12Sm2Th
_chemical_formula_sum 'Nd48 Sm8 Th4'
_space_group_name_H-M_alt 'C m m e'
_space_group_IT_number 67
_space_group_name_Hall '-C 2a 2'
_cell_length_a 7.196
_cell_length_b 11.733
_cell_length_c 25.229
_cell_angle_alpha 90.00
_cell_angle_beta 90.00
_cell_angle_gamma 90.00
loop_
_atom_site_label
_atom_site_type_symbol
_atom_site_fract_x
_atom_site_fract_y
_atom_site_fract_z
Nd1 Nd 0.000 0.002 0.074
Nd2 Nd 0.000 0.024 0.560
Nd3 Nd 0.231 0.250 0.416
Nd4 Nd 0.249 0.250 0.875
Nd5 Nd 0.250 0.000 0.200
Nd6 Nd 0.250 0.000 0.326
Sm1 Sm 0.000 0.250 0.267
Sm2 Sm 0.000 0.250 0.727
Th1 Th 0.000 0.250 0.999
```

No. 3
Starting from a cell relaxed with GGA-PBE, the powder diffraction line list of EuBi3 was calculated for Cu Kα (weighted mean of Kα1 and Kα2).
Lines closer than 0.1° are merged.

The 10 most intense peaks (10 to 90 degrees two-theta), by angle:
2θ (°)	intensity	hkl
31.0	100	1 1 2
32.0	23	0 0 4
37.8	30	2 0 0
50.3	27	2 0 4
54.5	11	2 2 0
56.4	19	1 1 6
64.0	26	3 1 2
64.6	13	2 2 4
79.5	7	2 0 8
82.3	14	3 1 6

Structure:
```
data_EuBi3
_chemical_formula_sum 'Eu2 Bi6'
_space_group_name_H-M_alt 'I 4/m m m'
_space_group_IT_number 139
_space_group_name_Hall '-I 4 2'
_cell_length_a 4.764
_cell_length_b 4.764
_cell_length_c 11.184
_cell_angle_alpha 90.00
_cell_angle_beta 90.00
_cell_angle_gamma 90.00
loop_
_atom_site_label
_atom_site_type_symbol
_atom_site_fract_x
_atom_site_fract_y
_atom_site_fract_z
Eu1 Eu 0.000 0.000 0.000
Bi1 Bi 0.000 0.000 0.500
Bi2 Bi 0.000 0.500 0.250
```

No. 4
Starting from a cell relaxed with GGA-PBE, the powder diffraction line list of Cu3Mo12S16 was calculated for Cu Kα (weighted mean of Kα1 and Kα2).
Lines closer than 0.1° are merged.

The 10 most intense peaks (10 to 90 degrees two-theta), by angle:
2θ (°)	intensity	hkl
13.7	100	0 1 -1
25.8	13	1 -2 0
29.4	14	1 2 2
32.8	12	1 -1 3
34.0	15	2 0 -2
36.3	13	1 -3 1
39.9	11	2 3 1
45.4	20	3 0 2
46.4	17	-1 2 4
46.5	15	1 4 -2

Structure:
```
data_Cu3Mo12S16
_chemical_formula_sum 'Cu3 Mo12 S16'
_space_group_name_H-M_alt 'P 1'
_space_group_IT_number 1
_space_group_name_Hall 'P 1'
_cell_length_a 6.527
_cell_length_b 8.817
_cell_length_c 9.632
_cell_angle_alpha 89.60
_cell_angle_beta 87.74
_cell_angle_gamma 83.36
loop_
_atom_site_label
_atom_site_type_symbol
_atom_site_fract_x
_atom_site_fract_y
_atom_site_fract_z
Cu1 Cu 0.000 0.000 0.000
Cu2 Cu 0.065 0.203 0.689
Cu3 Cu 0.175 0.599 0.294
Mo1 Mo 0.297 0.581 0.827
Mo2 Mo 0.308 0.080 0.325
Mo3 Mo 0.483 0.671 0.058
Mo4 Mo 0.487 0.176 0.555
Mo5 Mo 0.536 0.364 0.985
Mo6 Mo 0.546 0.865 0.487
Mo7 Mo 0.626 0.741 0.801
Mo8 Mo 0.633 0.240 0.297
Mo9 Mo 0.682 0.435 0.728
Mo10 Mo 0.689 0.934 0.226
Mo11 Mo 0.867 0.526 0.961
Mo12 Mo 0.868 0.026 0.459
S1 S 0.210 0.498 0.068
S2 S 0.214 0.996 0.563
S3 S 0.282 0.847 0.903
S4 S 0.295 0.352 0.390
S5 S 0.359 0.313 0.773
S6 S 0.368 0.810 0.277
S7 S 0.468 0.625 0.603
S8 S 0.472 0.125 0.101
S9 S 0.698 0.983 0.684
S10 S 0.699 0.480 0.183
S11 S 0.804 0.300 0.511
S12 S 0.804 0.795 0.010
S13 S 0.886 0.252 0.898
S14 S 0.887 0.758 0.383
S15 S 0.951 0.604 0.722
S16 S 0.963 0.109 0.219
```